Structure and computed powder diffractogram of Rb12Au5I (a cell relaxed with GGA-PBE; Cu Kα, 1.54184 Å).
Intensities are scaled so that the largest is 100.

Principal peaks in the range 2θ from 10° to 80°, low angle first:
two_theta	I/Imax
10.53	100
22.91	42
25.83	84
29.87	34
33.62	48
36.61	55

```
Rb12Au5I
1.0
4.2594 -7.6541 0.0000
4.2594 7.6541 0.0000
-0.0488 0.0000 16.8019
Rb Au I
12 5 1
direct
0.0051 0.6712 0.8835
0.1466 0.1466 0.3759
0.1577 0.5057 0.6237
0.3288 0.9949 0.1165
0.3371 0.3371 0.8823
0.4943 0.8423 0.3763
0.5057 0.1577 0.6237
0.6629 0.6629 0.1177
0.6712 0.0051 0.8835
0.8423 0.4943 0.3763
0.8534 0.8534 0.6241
0.9949 0.3288 0.1165
0.0000 0.0000 0.0000
0.1664 0.8336 0.5000
0.3343 0.6657 0.0000
0.6657 0.3343 0.0000
0.8336 0.1664 0.5000
0.5000 0.5000 0.5000
```